# 1
Theoretical powder X-ray diffraction pattern of PrIn2Au for Cu Kα, from DFT lattice parameters and positions (PBE).

Structure:
```
PrIn2Au
1.0
-2.4321 2.4321 8.5130
2.4321 -2.4321 8.5130
2.4321 2.4321 -8.5130
Pr In Au
2 4 2
direct
0.1350 0.1350 0.0000
0.8650 0.8650 0.0000
0.0000 0.5000 0.5000
0.3564 0.3564 0.0000
0.5000 0.0000 0.5000
0.6436 0.6436 0.0000
0.2500 0.7500 0.5000
0.7500 0.2500 0.5000
```

Top 6 peaks for 2θ from 10° to 80°, in order of rising 2θ:
two_theta	d [Å]	Rel. int.
10.39	8.513	18
33.50	2.675	100
36.96	2.432	41
53.27	1.720	14
57.55	1.602	18
64.41	1.447	30

# 2
Theoretical powder X-ray diffraction pattern of BaAsH for Cu Kα, from DFT lattice parameters and positions (PBE).

Structure:
```
BaAsH
1.0
4.6408 0.0000 0.0000
0.0000 5.0607 0.0000
-0.8474 0.0000 6.8105
Ba As H
2 2 2
direct
0.2426 0.2500 0.2538
0.7574 0.7500 0.7462
0.2620 0.2500 0.7584
0.7380 0.7500 0.2416
0.0299 0.7500 0.3841
0.9701 0.2500 0.6159
```

Top 6 peaks for 2θ from 10° to 80°, in order of rising 2θ:
two_theta	d [Å]	Rel. int.
26.17	3.406	100
35.52	2.528	45
39.09	2.304	34
44.64	2.030	23
53.84	1.703	13
58.30	1.583	21

# 3
Theoretical powder X-ray diffraction pattern of TbYNp2P4 for Cu Kα, from DFT lattice parameters and positions (PBE).

Structure:
```
TbYNp2P4
1.0
6.9010 0.0000 0.0000
0.0000 3.9683 0.0000
-2.2921 0.0000 6.5208
Tb Y Np P
1 1 2 4
direct
0.0000 0.0000 0.0000
0.5000 0.5000 0.0000
0.0000 0.5000 0.5000
0.5000 0.0000 0.5000
0.2478 0.0000 0.7433
0.2530 0.5000 0.2569
0.7470 0.5000 0.7431
0.7522 0.0000 0.2567
```

Top 6 peaks for 2θ from 10° to 80°, in order of rising 2θ:
two_theta	d [Å]	Rel. int.
27.38	3.258	47
27.49	3.245	47
31.78	2.816	100
45.49	1.994	37
45.58	1.990	25
53.93	1.700	23

# 4
Theoretical powder X-ray diffraction pattern of HfSc2Ru3 for Cu Kα, from DFT lattice parameters and positions (PBE).

Structure:
```
HfSc2Ru3
1.0
3.2238 0.0000 0.0000
0.0000 3.2238 0.0000
0.0000 0.0000 9.6463
Hf Sc Ru
1 2 3
direct
0.0000 0.0000 0.0000
0.0000 0.0000 0.3364
0.0000 0.0000 0.6636
0.5000 0.5000 0.1632
0.5000 0.5000 0.5000
0.5000 0.5000 0.8368
```

Top 6 peaks for 2θ from 10° to 80°, in order of rising 2θ:
two_theta	d [Å]	Rel. int.
18.39	4.823	7
29.21	3.058	7
39.57	2.278	100
57.15	1.612	11
71.75	1.316	22
71.86	1.314	11

# 5
Theoretical powder X-ray diffraction pattern of Tb2PmPr12 for Cu Kα, from DFT lattice parameters and positions (PBE).

Structure:
```
Tb2PmPr12
1.0
6.6252 0.0000 0.0000
0.0000 6.6252 0.0000
0.0000 0.0000 25.8440
Tb Pm Pr
4 2 24
direct
0.2500 0.7500 0.2277
0.2500 0.7500 0.7723
0.7500 0.2500 0.2277
0.7500 0.2500 0.7723
0.2500 0.7500 0.5000
0.7500 0.2500 0.5000
0.0672 0.5672 0.3854
0.0672 0.9328 0.6146
0.0817 0.5817 0.0624
0.0817 0.9183 0.9376
0.2500 0.2500 0.1626
0.2500 0.2500 0.2843
0.2500 0.2500 0.7157
0.2500 0.2500 0.8374
0.4183 0.5817 0.9376
0.4183 0.9183 0.0624
0.4328 0.5672 0.6146
0.4328 0.9328 0.3854
0.5672 0.0672 0.6146
0.5672 0.4328 0.3854
0.5817 0.0817 0.9376
0.5817 0.4183 0.0624
0.7500 0.7500 0.1626
0.7500 0.7500 0.2843
0.7500 0.7500 0.7157
0.7500 0.7500 0.8374
0.9183 0.0817 0.0624
0.9183 0.4183 0.9376
0.9328 0.0672 0.3854
0.9328 0.4328 0.6146
```

Top 6 peaks for 2θ from 10° to 80°, in order of rising 2θ:
two_theta	d [Å]	Rel. int.
27.80	3.209	78
28.88	3.092	56
30.34	2.946	96
30.84	2.900	100
31.94	2.802	87
38.43	2.342	53

# 6
Theoretical powder X-ray diffraction pattern of MgGeH12O6F6 for Cu Kα, from DFT lattice parameters and positions (PBE).

Structure:
```
MgGeH12O6F6
1.0
6.6390 0.0000 0.0000
0.0000 9.6799 0.0000
-1.5482 0.0000 8.4440
Mg Ge H O F
2 2 24 12 12
direct
0.0000 0.0000 0.0000
0.0000 0.5000 0.5000
0.5000 0.0000 0.5000
0.5000 0.5000 0.0000
0.0433 0.0714 0.3149
0.0433 0.4286 0.8149
0.1916 0.5334 0.2420
0.1916 0.9666 0.7420
0.2396 0.6739 0.7043
0.2396 0.8261 0.2043
0.2431 0.7329 0.5322
0.2431 0.7671 0.0322
0.2683 0.2176 0.0195
0.2683 0.2824 0.5195
0.3771 0.1004 0.1337
0.3771 0.3996 0.6337
0.6229 0.6004 0.3663
0.6229 0.8996 0.8663
0.7317 0.7176 0.4805
0.7317 0.7824 0.9805
0.7569 0.2329 0.9678
0.7569 0.2671 0.4678
0.7604 0.1739 0.7957
0.7604 0.3261 0.2957
0.8084 0.0334 0.2580
0.8084 0.4666 0.7580
0.9567 0.5714 0.1851
0.9567 0.9286 0.6851
0.0592 0.5428 0.2764
0.0592 0.9572 0.7764
0.1692 0.6715 0.5935
0.1692 0.8285 0.0935
0.2654 0.1188 0.0445
0.2654 0.3812 0.5445
0.7346 0.6188 0.4555
0.7346 0.8812 0.9555
0.8308 0.1715 0.9065
0.8308 0.3285 0.4065
0.9408 0.0428 0.2236
0.9408 0.4572 0.7236
0.2657 0.1046 0.4617
0.2657 0.3954 0.9617
0.3562 0.6515 0.9108
0.3562 0.8485 0.4108
0.4421 0.5486 0.1940
0.4421 0.9514 0.6940
0.5579 0.0486 0.3060
0.5579 0.4514 0.8060
0.6438 0.1515 0.5892
0.6438 0.3485 0.0892
0.7343 0.6046 0.0383
0.7343 0.8954 0.5383
```

Top 6 peaks for 2θ from 10° to 80°, in order of rising 2θ:
two_theta	d [Å]	Rel. int.
13.92	6.363	37
18.09	4.902	100
18.33	4.840	47
20.77	4.276	56
21.04	4.222	29
33.58	2.669	42

# 7
Theoretical powder X-ray diffraction pattern of BaCdRh for Cu Kα, from DFT lattice parameters and positions (PBE).

Structure:
```
BaCdRh
1.0
4.6803 0.0000 0.0000
-2.3401 4.0532 0.0000
0.0000 0.0000 4.6185
Ba Cd Rh
1 1 1
direct
0.0000 0.0000 0.0000
0.6667 0.3333 0.5000
0.3333 0.6667 0.5000
```

Top 6 peaks for 2θ from 10° to 80°, in order of rising 2θ:
two_theta	d [Å]	Rel. int.
29.32	3.046	100
38.47	2.340	51
39.00	2.309	16
49.09	1.856	23
55.94	1.644	33
64.04	1.454	21

# 8
Theoretical powder X-ray diffraction pattern of SrCeGe2Ir2 for Cu Kα, from DFT lattice parameters and positions (PBE).

Structure:
```
SrCeGe2Ir2
1.0
4.3005 0.0000 0.0000
-2.1502 3.7243 0.0000
0.0000 0.0000 8.3695
Sr Ce Ge Ir
1 1 2 2
direct
0.0000 0.0000 0.0000
0.0000 0.0000 0.5000
0.3333 0.6667 0.7350
0.6667 0.3333 0.2650
0.3333 0.6667 0.2864
0.6667 0.3333 0.7136
```

Top 6 peaks for 2θ from 10° to 80°, in order of rising 2θ:
two_theta	d [Å]	Rel. int.
10.57	8.369	20
26.19	3.403	24
32.17	2.782	100
42.02	2.150	56
53.88	1.702	27
61.87	1.500	22